# Ho2Ge2O7
Computed powder XRD pattern, CuKα. Input: a cell relaxed with PBE.
Neutral-atom scattering factors, no anomalous dispersion.

Top 10 peaks for 2θ from 10° to 90°, sorted by position:
- 2θ 14.76, intensity 42
- 2θ 27.00, intensity 80
- 2θ 28.63, intensity 75
- 2θ 29.16, intensity 24
- 2θ 30.04, intensity 46
- 2θ 32.57, intensity 100
- 2θ 33.92, intensity 41
- 2θ 48.48, intensity 39
- 2θ 53.27, intensity 34
- 2θ 61.82, intensity 26

Unit cell a=6.8487 b=6.8487 c=12.4700 alpha=90.00 beta=90.00 gamma=90.00
Positions (direct):
Ho  0.1251  0.3530  0.1152
Ho  0.1470  0.6251  0.3652
Ho  0.3530  0.1251  0.8848
Ho  0.3749  0.8530  0.1348
Ho  0.6251  0.1470  0.6348
Ho  0.6470  0.8749  0.3848
Ho  0.8530  0.3749  0.8652
Ho  0.8749  0.6470  0.6152
Ge  0.0998  0.1520  0.6309
Ge  0.1520  0.0998  0.3691
Ge  0.3480  0.5998  0.8809
Ge  0.4002  0.6520  0.6191
Ge  0.5998  0.3480  0.1191
Ge  0.6520  0.4002  0.3809
Ge  0.8480  0.9002  0.8691
Ge  0.9002  0.8480  0.1309
O  0.0323  0.0785  0.8728
O  0.0652  0.6618  0.1789
O  0.0785  0.0323  0.1272
O  0.1437  0.3177  0.2947
O  0.1618  0.4348  0.9289
O  0.1823  0.6437  0.5447
O  0.1970  0.1970  0.5000
O  0.3030  0.6970  0.7500
O  0.3177  0.1437  0.7053
O  0.3382  0.9348  0.3211
O  0.3563  0.8177  0.9553
O  0.4215  0.5323  0.1228
O  0.4348  0.1618  0.0711
O  0.4677  0.5785  0.3772
O  0.5323  0.4215  0.8772
O  0.5652  0.8382  0.5711
O  0.5785  0.4677  0.6228
O  0.6437  0.1823  0.4553
O  0.6618  0.0652  0.8211
O  0.6823  0.8563  0.2053
O  0.6970  0.3030  0.2500
O  0.8030  0.8030  0.0000
O  0.8177  0.3563  0.0447
O  0.8382  0.5652  0.4289
O  0.8563  0.6823  0.7947
O  0.9215  0.9677  0.6272
O  0.9348  0.3382  0.6789
O  0.9677  0.9215  0.3728

# Tb4Ho2Ge3O2
Computed powder XRD pattern, CuKα. Input: a cell relaxed with PBE.
Neutral-atom scattering factors, no anomalous dispersion.

Top 10 peaks for 2θ from 10° to 90°, sorted by position:
- 2θ 22.56, intensity 26
- 2θ 28.69, intensity 74
- 2θ 30.30, intensity 22
- 2θ 31.62, intensity 22
- 2θ 33.04, intensity 17
- 2θ 36.01, intensity 100
- 2θ 39.51, intensity 65
- 2θ 50.59, intensity 21
- 2θ 57.12, intensity 23
- 2θ 69.40, intensity 30

Unit cell a=12.2339 b=12.2339 c=12.2339 alpha=158.51 beta=158.51 gamma=30.57
Positions (direct):
Tb  0.0808  0.5808  0.5000
Tb  0.4192  0.9192  0.5000
Tb  0.5808  0.0808  0.5000
Tb  0.9192  0.4192  0.5000
Ho  0.1982  0.1982  0.0000
Ho  0.8018  0.8018  0.0000
Ge  0.3233  0.3233  0.0000
Ge  0.5000  0.5000  0.0000
Ge  0.6767  0.6767  0.0000
O  0.1016  0.1016  0.0000
O  0.8984  0.8984  0.0000

# HoTiGe2O8
Computed powder XRD pattern, CuKα. Input: a cell relaxed with PBE.
Neutral-atom scattering factors, no anomalous dispersion.

Top 10 peaks for 2θ from 10° to 90°, sorted by position:
- 2θ 18.52, intensity 17
- 2θ 19.17, intensity 23
- 2θ 26.31, intensity 100
- 2θ 33.90, intensity 74
- 2θ 37.55, intensity 19
- 2θ 51.47, intensity 62
- 2θ 54.15, intensity 16
- 2θ 61.18, intensity 13
- 2θ 64.93, intensity 14
- 2θ 65.43, intensity 19

Unit cell a=5.7454 b=5.7454 c=5.7454 alpha=107.74 beta=107.74 gamma=112.99
Positions (direct):
Ho  0.0000  0.0000  0.0000
Ti  0.2500  0.7500  0.5000
Ge  0.5000  0.5000  0.0000
Ge  0.7500  0.2500  0.5000
O  0.3179  0.1175  0.7996
O  0.3179  0.5183  0.2004
O  0.3713  0.0495  0.3218
O  0.4817  0.6821  0.7996
O  0.7277  0.0495  0.6782
O  0.8825  0.6821  0.2004
O  0.9505  0.2723  0.3218
O  0.9505  0.6287  0.6782

# Ho5Ge10Os4
Computed powder XRD pattern, CuKα. Input: a cell relaxed with PBE.
Neutral-atom scattering factors, no anomalous dispersion.

Top 10 peaks for 2θ from 10° to 90°, sorted by position:
- 2θ 19.20, intensity 23
- 2θ 32.25, intensity 27
- 2θ 34.42, intensity 100
- 2θ 35.00, intensity 23
- 2θ 35.12, intensity 33
- 2θ 35.81, intensity 76
- 2θ 41.86, intensity 54
- 2θ 43.80, intensity 24
- 2θ 44.41, intensity 30
- 2θ 67.68, intensity 24

Unit cell a=13.0728 b=13.0728 c=4.3160 alpha=90.00 beta=90.00 gamma=90.00
Positions (direct):
Ho  0.0000  0.0000  0.0000
Ho  0.1179  0.3821  0.5000
Ho  0.1723  0.6723  0.5000
Ho  0.3277  0.1723  0.5000
Ho  0.3821  0.8821  0.5000
Ho  0.5000  0.5000  0.0000
Ho  0.6179  0.1179  0.5000
Ho  0.6723  0.8277  0.5000
Ho  0.8277  0.3277  0.5000
Ho  0.8821  0.6179  0.5000
Ge  0.0073  0.8419  0.5000
Ge  0.0676  0.5676  0.0000
Ge  0.1581  0.0073  0.5000
Ge  0.1644  0.1983  0.0000
Ge  0.1983  0.8356  0.0000
Ge  0.3017  0.3356  0.0000
Ge  0.3356  0.6983  0.0000
Ge  0.3419  0.5073  0.5000
Ge  0.4324  0.0676  0.0000
Ge  0.4927  0.3419  0.5000
Ge  0.5073  0.6581  0.5000
Ge  0.5676  0.9324  0.0000
Ge  0.6581  0.4927  0.5000
Ge  0.6644  0.3017  0.0000
Ge  0.6983  0.6644  0.0000
Ge  0.8017  0.1644  0.0000
Ge  0.8356  0.8017  0.0000
Ge  0.8419  0.9927  0.5000
Ge  0.9324  0.4324  0.0000
Ge  0.9927  0.1581  0.5000
Os  0.0184  0.7526  0.0000
Os  0.2474  0.0184  0.0000
Os  0.2526  0.5184  0.0000
Os  0.4816  0.2526  0.0000
Os  0.5184  0.7474  0.0000
Os  0.7474  0.4816  0.0000
Os  0.7526  0.9816  0.0000
Os  0.9816  0.2474  0.0000

Question: Which formula does entry 1 have?
Answer: Ho2Ge2O7